Diffraction record for KCd5Cl11. The powder diffractogram is calculated, not measured: it uses DFT lattice parameters and positions (PBE) and Cu Kα (weighted mean of Kα1 and Kα2).
Peak positions follow from Bragg's law for the DFT cell and can differ from measured ones.

```
data_KCd5Cl11
_cell_length_a 8.5031
_cell_length_b 8.5031
_cell_length_c 8.0832
_cell_angle_alpha 101.52
_cell_angle_beta 101.52
_cell_angle_gamma 112.81
_space_group_name_H-M_alt 'P 1'
_space_group_IT_number 1
_space_group_name_Hall 'P 1'
loop_
_atom_site_label
_atom_site_fract_x
_atom_site_fract_y
_atom_site_fract_z
_atom_site_occupancy
K1 0.0000 0.0000 0.0000 1
Cd1 0.0746 0.3661 0.6366 1
Cd2 0.3661 0.0746 0.6366 1
Cd3 0.5000 0.5000 0.0000 1
Cd4 0.6339 0.9254 0.3634 1
Cd5 0.9254 0.6339 0.3634 1
Cl1 0.0000 0.0000 0.5000 1
Cl2 0.1217 0.7028 0.6736 1
Cl3 0.1574 0.4088 0.9653 1
Cl4 0.2972 0.8783 0.3264 1
Cl5 0.4014 0.4014 0.6420 1
Cl6 0.4088 0.1574 0.9653 1
Cl7 0.5912 0.8426 0.0347 1
Cl8 0.5986 0.5986 0.3580 1
Cl9 0.7028 0.1217 0.6736 1
Cl10 0.8426 0.5912 0.0347 1
Cl11 0.8783 0.2972 0.3264 1
```

Largest 8 diffraction maxima, by intensity, 2θ = 10–90°:
- 13.9 deg, rel. 100.0
- 32.5 deg, rel. 47.9
- 34.3 deg, rel. 42.4
- 35.7 deg, rel. 22.4
- 22.6 deg, rel. 19.0
- 17.2 deg, rel. 17.7
- 42.9 deg, rel. 16.3
- 45.0 deg, rel. 15.3